Entry 1:
Diffraction record for Sc2BePd8. The X-ray powder pattern is computed, not measured: it uses DFT lattice parameters and positions (PBE) and Cu Kα, 1.54184 Å.
Kinematic intensities with the Lorentz-polarization factor, no thermal factor.

Top 10 peaks for 10 to 90 degrees two-theta, sorted by position:
2theta  intensity
28.22  13
33.86  23
39.23  53
40.15  39
42.42  100
53.50  12
64.61  18
74.52  18
78.68  10
78.86  20

Structure:
```
Sc2BePd8
1.0
7.268 -2.246 0.000
7.268 2.246 0.000
-2.274 0.000 5.300
Sc Be Pd
2 1 8
Direct
0.190 0.190 0.190
0.810 0.810 0.810
0.500 0.500 0.500
0.001 0.001 0.250
0.182 0.182 0.683
0.372 0.372 0.628
0.373 0.373 0.115
0.627 0.627 0.885
0.628 0.628 0.372
0.818 0.818 0.317
0.999 0.999 0.750
```



Entry 2:
Diffraction record for LiMgRh2. The X-ray powder pattern is computed, not measured: it uses DFT lattice parameters and positions (PBE) and Cu Kα, 1.54184 Å.
Kinematic intensities with the Lorentz-polarization factor, no thermal factor.

Top 10 peaks for 10 to 90 degrees two-theta, sorted by position:
2theta  intensity
21.03  97
37.49  65
39.54  100
42.82  26
46.97  61
51.99  25
66.27  21
70.38  20
70.91  17
82.18  23

Structure:
```
LiMgRh2
1.0
2.821 0.000 0.000
-1.410 2.443 0.000
0.000 0.000 25.345
Li Mg Rh
3 3 6
Direct
0.000 0.000 0.000
0.333 0.667 0.667
0.667 0.333 0.333
0.000 0.000 0.500
0.333 0.667 0.167
0.667 0.333 0.833
0.000 0.000 0.250
0.000 0.000 0.750
0.333 0.667 0.417
0.333 0.667 0.917
0.667 0.333 0.083
0.667 0.333 0.583
```